For RbPm2CuSe3S, a PBE-relaxed structure gives the computed X-ray diffraction stick pattern in this record (CuKα).

Principal peaks in the range 10° ≤ 2θ ≤ 90°, sorted by position:
| two_theta | I (rel.) |
| --- | --- |
| 22.2 | 58 |
| 28.9 | 78 |
| 30.9 | 100 |
| 33.4 | 50 |
| 42.4 | 82 |
| 43.3 | 42 |

Atomic structure:
Lattice parameters (Å, degrees): 4.1760 14.4923 14.4444 90.00 90.00 90.00
Space group Cmcm (No. 63)
Inequivalent atoms, fractional coordinates:
Rb 0.0000 0.1001 0.2500 x4
Pm 0.0000 0.3652 0.0668 x8
Cu 0.0000 0.1594 0.7500 x4
Se 0.0000 0.0000 0.0000 x4
Se 0.0000 0.2653 0.6142 x8
S 0.0000 0.4228 0.2500 x4